No. 1
# CaZn3
Theoretical powder X-ray diffraction pattern, a wavelength of 1.5418 Å. Input: a DFT-relaxed cell (GGA-PBE, the Materials Project).
No peak broadening, texture or thermal motion is included.

Principal peaks in the range 2θ = 10–90°, in order of rising 2θ:
- 36.2 deg, I 60
- 38.6 deg, I 100
- 52.1 deg, I 20
- 66.7 deg, I 36
- 71.5 deg, I 15
- 82.8 deg, I 10
- 87.9 deg, I 8
- 89.4 deg, I 8

Structure:
```
CaZn3
1.0
-2.483 2.483 3.117
2.483 -2.483 3.117
2.483 2.483 -3.117
Ca Zn
1 3
Direct
0.000 0.000 0.000
0.250 0.750 0.500
0.500 0.500 0.000
0.750 0.250 0.500
```

No. 2
# Ca3Zn
Theoretical powder X-ray diffraction pattern, a wavelength of 1.5418 Å. Input: a DFT-relaxed cell (GGA-PBE, the Materials Project).
No peak broadening, texture or thermal motion is included.

Principal peaks in the range 2θ = 10–90°, in order of rising 2θ:
- 30.4 deg, I 100
- 34.1 deg, I 18
- 35.8 deg, I 32
- 50.2 deg, I 22
- 51.5 deg, I 10
- 58.7 deg, I 13
- 61.0 deg, I 24
- 63.2 deg, I 11

Structure:
```
Ca3Zn
1.0
-2.509 2.509 5.262
2.509 -2.509 5.262
2.509 2.509 -5.262
Ca Zn
3 1
Direct
0.000 0.000 0.000
0.250 0.750 0.500
0.750 0.250 0.500
0.500 0.500 0.000
```

No. 3
# CaZn
Theoretical powder X-ray diffraction pattern, a wavelength of 1.5418 Å. Input: a DFT-relaxed cell (GGA-PBE, the Materials Project).
No peak broadening, texture or thermal motion is included.

Principal peaks in the range 2θ = 10–90°, in order of rising 2θ:
- 26.3 deg, I 37
- 33.6 deg, I 100
- 41.7 deg, I 12
- 46.3 deg, I 25
- 50.0 deg, I 12
- 58.4 deg, I 18
- 64.1 deg, I 18
- 77.6 deg, I 15

Structure:
```
CaZn
1.0
3.918 0.000 0.000
-1.959 3.393 0.000
0.000 0.000 4.331
Ca Zn
1 1
Direct
0.000 0.000 0.000
0.667 0.333 0.500
```

No. 4
# CaZn
Theoretical powder X-ray diffraction pattern, a wavelength of 1.5418 Å. Input: a DFT-relaxed cell (GGA-PBE, the Materials Project).
No peak broadening, texture or thermal motion is included.

Principal peaks in the range 2θ = 10–90°, in order of rising 2θ:
- 19.7 deg, I 100
- 24.4 deg, I 21
- 28.8 deg, I 52
- 34.5 deg, I 94
- 35.1 deg, I 45
- 45.5 deg, I 84
- 69.6 deg, I 21
- 70.7 deg, I 20

Structure:
```
CaZn
1.0
5.194 0.000 0.000
-2.597 4.498 0.000
0.000 0.000 6.209
Ca Zn
2 2
Direct
0.333 0.667 0.250
0.667 0.333 0.750
0.333 0.667 0.750
0.667 0.333 0.250
```

No. 5
# CaZn13
Theoretical powder X-ray diffraction pattern, a wavelength of 1.5418 Å. Input: a DFT-relaxed cell (GGA-PBE, the Materials Project).
No peak broadening, texture or thermal motion is included.

Principal peaks in the range 2θ = 10–90°, in order of rising 2θ:
- 14.5 deg, I 29
- 32.7 deg, I 14
- 35.9 deg, I 49
- 43.7 deg, I 100
- 44.4 deg, I 45
- 70.0 deg, I 17
- 76.2 deg, I 9
- 85.0 deg, I 14

Structure:
```
CaZn13
1.0
0.000 6.121 6.121
6.121 0.000 6.121
6.121 6.121 0.000
Ca Zn
2 26
Direct
0.250 0.250 0.250
0.750 0.750 0.750
0.000 0.000 0.000
0.060 0.301 0.699
0.060 0.699 0.940
0.060 0.940 0.301
0.199 0.440 0.801
0.199 0.560 0.440
0.199 0.801 0.560
0.301 0.060 0.940
0.301 0.699 0.060
0.301 0.940 0.699
0.440 0.199 0.560
0.440 0.560 0.801
0.440 0.801 0.199
0.500 0.500 0.500
0.560 0.199 0.801
0.560 0.440 0.199
0.560 0.801 0.440
0.699 0.060 0.301
0.699 0.301 0.940
0.699 0.940 0.060
0.801 0.199 0.440
0.801 0.440 0.560
0.801 0.560 0.199
0.940 0.060 0.699
0.940 0.301 0.060
0.940 0.699 0.301
```

No. 6
# CaZn
Theoretical powder X-ray diffraction pattern, a wavelength of 1.5418 Å. Input: a DFT-relaxed cell (GGA-PBE, the Materials Project).
No peak broadening, texture or thermal motion is included.

Principal peaks in the range 2θ = 10–90°, in order of rising 2θ:
- 22.8 deg, I 100
- 37.6 deg, I 74
- 44.4 deg, I 49
- 54.2 deg, I 12
- 59.6 deg, I 19
- 67.9 deg, I 23
- 72.6 deg, I 13
- 84.8 deg, I 13

Structure:
```
CaZn
1.0
0.000 3.382 3.382
3.382 0.000 3.382
3.382 3.382 0.000
Ca Zn
1 1
Direct
0.000 0.000 0.000
0.250 0.250 0.250
```

No. 7
# CaZn
Theoretical powder X-ray diffraction pattern, a wavelength of 1.5418 Å. Input: a DFT-relaxed cell (GGA-PBE, the Materials Project).
No peak broadening, texture or thermal motion is included.

Principal peaks in the range 2θ = 10–90°, in order of rising 2θ:
- 15.5 deg, I 28
- 22.0 deg, I 27
- 30.2 deg, I 63
- 31.3 deg, I 36
- 37.7 deg, I 100
- 41.6 deg, I 21
- 41.8 deg, I 21
- 57.6 deg, I 21

Structure:
```
CaZn
1.0
2.159 -5.717 0.000
2.159 5.717 0.000
0.000 0.000 4.339
Ca Zn
2 2
Direct
0.146 0.854 0.750
0.854 0.146 0.250
0.435 0.565 0.750
0.565 0.435 0.250
```

No. 8
# Ca3Zn
Theoretical powder X-ray diffraction pattern, a wavelength of 1.5418 Å. Input: a DFT-relaxed cell (GGA-PBE, the Materials Project).
No peak broadening, texture or thermal motion is included.

Principal peaks in the range 2θ = 10–90°, in order of rising 2θ:
- 28.5 deg, I 24
- 31.5 deg, I 25
- 32.7 deg, I 100
- 43.0 deg, I 15
- 50.6 deg, I 18
- 56.8 deg, I 18
- 60.8 deg, I 19
- 61.5 deg, I 14

Structure:
```
Ca3Zn
1.0
7.221 0.000 0.000
-3.610 6.253 0.000
0.000 0.000 5.683
Ca Zn
6 2
Direct
0.173 0.346 0.250
0.173 0.827 0.250
0.346 0.173 0.750
0.654 0.827 0.250
0.827 0.173 0.750
0.827 0.654 0.750
0.333 0.667 0.750
0.667 0.333 0.250
```